The following is a simulated powder XRD pattern of MgCr4O12. It was derived from a cell relaxed with GGA+U, using Cu Ka.
Intensities are scaled so that the largest is 100.

Largest 8 diffraction maxima, sorted by position, 2θ from 10° to 90°:
(hkl)  2θ (°)  Rel. int.
0 1 1  13.37  57
0 1 -1  19.69  100
0 0 2  20.73  91
1 1 0  22.76  32
1 -1 0  23.10  42
1 1 2  26.31  62
-1 1 2  28.51  51
1 2 1  30.41  29

Structural model:
Cell lengths 4.7775, 7.2250, 9.2817 Å; angles 67.68, 85.56, 87.51 degrees
Space group P1 (No. 1)
Symmetry-distinct sites (fractional):
Mg 0.0000 0.0000 0.0000 [1 per cell]
Cr 0.0379 0.5067 0.8484 [1 per cell]
Cr 0.0787 0.2259 0.4460 [1 per cell]
Cr 0.5273 0.7460 0.9328 [1 per cell]
Cr 0.6011 0.9975 0.3495 [1 per cell]
O 0.1562 0.2732 0.9248 [1 per cell]
O 0.1975 0.1930 0.6107 [1 per cell]
O 0.2902 0.7804 0.0641 [1 per cell]
O 0.3014 0.6829 0.8077 [1 per cell]
O 0.3506 0.1963 0.3128 [1 per cell]
O 0.4474 0.7912 0.4417 [1 per cell]
O 0.7426 0.9428 0.8618 [1 per cell]
O 0.7681 0.0116 0.1824 [1 per cell]
O 0.7844 0.5378 0.9849 [1 per cell]
O 0.8335 0.0349 0.4753 [1 per cell]
O 0.8927 0.5479 0.6909 [1 per cell]
O 0.9399 0.4429 0.3675 [1 per cell]

The following is a simulated powder XRD pattern of K2RbTbMgV2O8. It was derived from a cell relaxed with GGA+U, using Cu Ka.
Intensities are scaled so that the largest is 100.

Largest 8 diffraction maxima, sorted by position, 2θ from 10° to 90°:
(hkl)  2θ (°)  Rel. int.
1 1 0  16.77  95
2 0 -1  19.01  63
1 1 -2  27.63  77
3 1 0  28.94  100
1 1 2  29.07  61
0 2 0  29.43  98
2 0 2  29.61  66
2 2 2  42.24  83

Structural model:
Cell lengths 10.8091, 6.0702, 7.8792 Å; angles 90.00, 96.09, 90.00 degrees
Space group Cm (No. 8)
Symmetry-distinct sites (fractional):
K 0.0000 0.0000 0.0000 [2 per cell]
K 0.2420 0.5000 0.3412 [2 per cell]
Rb 0.2877 0.0000 0.7378 [2 per cell]
Tb 0.3437 0.0000 0.1804 [2 per cell]
Mg 0.0180 0.5000 0.5333 [2 per cell]
V 0.0414 0.0000 0.4540 [2 per cell]
V 0.1565 0.5000 0.9271 [2 per cell]
O 0.0060 0.5000 0.0069 [2 per cell]
O 0.0331 0.0000 0.6720 [2 per cell]
O 0.1615 0.5000 0.6959 [2 per cell]
O 0.1900 0.0000 0.3672 [2 per cell]
O 0.2464 0.2649 0.0247 [4 per cell]
O 0.4564 0.2367 0.3788 [4 per cell]

The following is a simulated powder XRD pattern of Mg3MoO4. It was derived from a cell relaxed with GGA+U, using Cu Ka.
Intensities are scaled so that the largest is 100.

Largest 8 diffraction maxima, sorted by position, 2θ from 10° to 90°:
(hkl)  2θ (°)  Rel. int.
1 0 0  19.88  58
1 1 0  28.26  49
1 1 1  34.79  42
2 0 0  40.39  100
2 1 0  45.41  26
2 1 1  50.02  19
2 2 0  58.45  60
3 1 1  69.85  20

Structural model:
Cell lengths 4.4663, 4.4663, 4.4663 Å; angles 90.00, 90.00, 90.00 degrees
Space group Pm-3m (No. 221)
Symmetry-distinct sites (fractional):
Mg 0.0000 0.0000 0.5000 [3 per cell]
Mo 0.5000 0.5000 0.5000 [1 per cell]
O 0.0000 0.0000 0.0000 [1 per cell]
O 0.0000 0.5000 0.5000 [3 per cell]

The following is a simulated powder XRD pattern of Na2TmPWO8. It was derived from a cell relaxed with GGA+U, using Cu Ka.
Intensities are scaled so that the largest is 100.

Largest 8 diffraction maxima, sorted by position, 2θ from 10° to 90°:
(hkl)  2θ (°)  Rel. int.
0 2 0  14.57  99
1 1 2  17.74  86
1 1 4  24.55  66
1 3 2  27.36  59
2 0 2  27.78  100
0 0 6  29.38  55
1 3 4  32.30  38
2 0 4  32.61  61

Structural model:
Cell lengths 6.8610, 12.1603, 18.2427 Å; angles 90.00, 90.00, 90.00 degrees
Space group Ibca (No. 73)
Symmetry-distinct sites (fractional):
Na 0.0107 0.0627 0.1529 [16 per cell]
Tm 0.2500 0.1776 0.5000 [8 per cell]
P 0.2500 0.0692 0.0000 [8 per cell]
W 0.0000 0.2500 0.3236 [8 per cell]
O 0.0449 0.1300 0.7680 [16 per cell]
O 0.0739 0.1495 0.0077 [16 per cell]
O 0.2147 0.2246 0.3810 [16 per cell]
O 0.2373 0.0073 0.5678 [16 per cell]